Computed X-ray powder pattern of BaYBr5 for Cu Kα (weighted mean of Kα1 and Kα2), from a DFT-relaxed cell (PBE, the Materials Project).

Main lines, by angle (2θ from 10° to 90°):
2θ (°)	d/Å	intensity	h k l
17.96	4.938	52.4	0 2 0
21.76	4.084	42.1	2 2 -2
26.36	3.381	85.1	3 2 -2
28.90	3.089	100.0	1 0 -6
32.70	2.739	88.1	4 2 -6
34.86	2.573	46.4	3 1 2
36.25	2.478	66.8	5 2 -4
36.40	2.468	46.4	0 4 0

Cell and atoms:
```
data_BaYBr5
_chemical_formula_sum 'Ba8 Y8 Br40'
_symmetry_space_group_name_H-M 'P 1 21/c 1'
_symmetry_Int_Tables_number 14
_cell_length_a 14.536
_cell_length_b 9.874
_cell_length_c 21.382
_cell_angle_alpha 90.00
_cell_angle_beta 132.18
_cell_angle_gamma 90.00
loop_
_symmetry_equiv_pos_as_xyz
'x,y,z'
'-x,-y,-z'
'-x,y+1/2,-z+1/2'
'x,-y+1/2,z+1/2'
loop_
_atom_site_label
_atom_site_fract_x
_atom_site_fract_y
_atom_site_fract_z
Ba1 0.019 0.236 0.410
Ba2 0.339 0.248 0.300
Y1 0.165 0.738 0.373
Y2 0.392 0.749 0.824
Br1 0.080 0.246 0.282
Br2 0.132 0.569 0.946
Br3 0.139 0.532 0.443
Br4 0.182 0.235 0.608
Br5 0.197 0.563 0.277
Br6 0.208 0.568 0.793
Br7 0.254 0.725 0.655
Br8 0.437 0.725 0.481
Br9 0.473 0.020 0.634
Br10 0.486 0.020 0.154
```